For Ga2FeF8, the GGA+U geometry in Alexandria gives the theoretical XRD peak list in this record (λ = 1.5418 Å (Cu Kα)).
Neutral-atom scattering factors, no anomalous dispersion.

Structure:
```
Ga2FeF8
1.0
6.3977 0.0000 0.0000
-3.1988 5.5406 0.0000
0.0000 0.0000 3.9564
Ga Fe F
2 1 8
Cartesian
0.0000 3.6937 0.9506 Ga
3.1989 1.8469 3.0059 Ga
0.0000 0.0000 0.0000 Fe
-1.5766 4.5982 0.9727 F
0.0050 1.8761 0.9727 F
0.0000 3.6937 2.9306 F
1.6272 0.9337 2.9837 F
1.5716 4.6069 0.9727 F
3.1989 1.8469 1.0258 F
3.1938 3.6645 2.9837 F
4.7755 0.9424 2.9837 F
```

Most intense lines, 5° ≤ 2θ ≤ 70°, in order of falling intensity:
h k l	2θ/deg	I_rel
1 1 0	27.9	100
0 1 1	27.7	94
1 2 1	49.2	35
2 2 0	57.6	34
2 0 2	57.2	24
3 0 0	49.3	20
0 1 2	48.9	18
4 -1 1	65.1	15
2 0 0	32.3	14
1 2 2	64.8	13